The following is a theoretical powder diffractogram of NpMnP2Ru. It was derived from the PBE geometry in Alexandria, using a wavelength of 1.5418 Å.
No peak broadening, texture or thermal motion is included.

Cell and atoms:
a = 3.968 Å, b = 3.968 Å, c = 9.592 Å
α = 90.00°, β = 90.00°, γ = 90.00°
Positions (direct):
1 Np 0.000 0.000 0.000
2 Np 0.500 0.500 0.500
3 Mn 0.000 0.500 0.250
4 Mn 0.500 0.000 0.750
5 P 0.000 0.000 0.373
6 P 0.000 0.000 0.627
7 P 0.500 0.500 0.127
8 P 0.500 0.500 0.873
9 Ru 0.000 0.500 0.750
10 Ru 0.500 0.000 0.250

Main lines, low angle first (5 to 70 degrees two-theta):
d [Å]  two_theta  I/Imax  (hkl)
3.666  24.28  71  1 0 1
2.490  36.08  56  1 0 3
2.422  37.13  100  1 1 2
2.398  37.51  17  0 0 4
1.984  45.74  37  2 0 0
1.745  52.44  20  2 1 1
1.727  53.02  18  1 0 5
1.551  59.59  27  2 1 3
1.529  60.58  18  2 0 4
1.389  67.42  18  1 1 6